[1]
Si2TeH18C6: theoretical X-ray powder pattern (Cu Kα), based on a structure optimized by DFT (GGA-PBE).

The 10 most intense peaks (2θ = 5–70°), in order of rising 2θ:
| 2θ/deg | I (rel.) | (hkl) |
| --- | --- | --- |
| 11.63 | 100 | 1 1 0 |
| 14.58 | 86 | 0 0 2 |
| 16.34 | 14 | 0 2 1 |
| 16.98 | 23 | 1 1 -2 |
| 20.23 | 52 | 1 1 2 |
| 20.69 | 27 | 0 2 2 |
| 25.33 | 28 | 2 2 -2 |
| 29.12 | 14 | 1 3 2 |
| 33.61 | 14 | 1 1 4 |
| 34.83 | 13 | 2 4 0 |

Structure:
Unit cell a=10.034 b=12.125 c=12.487 alpha=90.00 beta=103.07 gamma=90.00
Space group C2/c (No. 15)
Symmetry-distinct sites (fractional):
Si  0.183  0.115  0.208
Te  0.000  0.014  0.750
H  0.037  0.281  0.156
H  0.043  0.200  0.038
H  0.126  0.277  0.676
H  0.130  0.423  0.885
H  0.160  0.400  0.608
H  0.162  0.458  0.312
H  0.183  0.287  0.098
H  0.228  0.009  0.559
H  0.231  0.217  0.386
C  0.104  0.232  0.116
C  0.207  0.331  0.660
C  0.211  0.474  0.865

***

[2]
TeW2Se3: theoretical X-ray powder pattern (Cu Kα), based on a structure optimized by DFT (GGA-PBE).

The 10 most intense peaks (2θ = 5–70°), in order of rising 2θ:
| 2θ/deg | I (rel.) | (hkl) |
| --- | --- | --- |
| 11.99 | 100 | 0 0 2 |
| 30.56 | 28 | 1 0 0 |
| 32.94 | 15 | 0 1 2 |
| 35.71 | 71 | 1 0 3 |
| 43.56 | 54 | 1 0 5 |
| 49.40 | 9 | 0 0 8 |
| 54.32 | 22 | 1 1 0 |
| 55.85 | 13 | 1 1 2 |
| 59.21 | 8 | 0 1 8 |
| 66.72 | 11 | 2 0 3 |

Structure:
Unit cell a=3.3777 b=3.3777 c=14.7587 alpha=90.00 beta=90.00 gamma=120.00
Space group P3m1 (No. 156)
Symmetry-distinct sites (fractional):
Te  0.0000  0.0000  0.0000
W  0.0000  0.0000  0.3797
W  0.6667  0.3333  0.8714
Se  0.0000  0.0000  0.7598
Se  0.6667  0.3333  0.2669
Se  0.6667  0.3333  0.4924

***

[3]
Sr6Ta2O11: theoretical X-ray powder pattern (Cu Kα), based on a structure optimized by DFT (GGA-PBE).

The 10 most intense peaks (2θ = 5–70°), in order of rising 2θ:
| 2θ/deg | I (rel.) | (hkl) |
| --- | --- | --- |
| 17.95 | 15 | 1 1 1 |
| 20.75 | 10 | 2 0 0 |
| 29.51 | 100 | 2 2 0 |
| 34.75 | 5 | 3 1 1 |
| 42.19 | 21 | 4 0 0 |
| 42.30 | 6 | 0 0 4 |
| 47.50 | 4 | 2 0 4 |
| 52.36 | 39 | 4 2 2 |
| 61.24 | 14 | 4 4 0 |
| 69.39 | 12 | 6 2 0 |

Structure:
Unit cell a=8.567 b=8.567 c=8.546 alpha=90.00 beta=90.00 gamma=90.00
Space group P4/nmm (No. 129, origin choice 2)
Symmetry-distinct sites (fractional):
Sr  0.001  0.001  0.223
Sr  0.250  0.250  0.970
Sr  0.250  0.750  0.500
Ta  0.250  0.250  0.527
Ta  0.250  0.750  0.000
O  0.015  0.750  0.992
O  0.032  0.250  0.601
O  0.250  0.250  0.304
O  0.250  0.750  0.228

***

[4]
Sn: theoretical X-ray powder pattern (Cu Kα), based on a structure optimized by DFT (GGA-PBE).

The 5 most intense peaks (2θ = 5–70°), in order of rising 2θ:
| 2θ/deg | I (rel.) | (hkl) |
| --- | --- | --- |
| 32.21 | 100 | 1 1 1 |
| 37.37 | 51 | 2 0 0 |
| 53.87 | 36 | 2 2 0 |
| 64.17 | 44 | 3 1 1 |
| 67.40 | 13 | 2 2 2 |

Structure:
Unit cell a=4.813 b=4.813 c=4.813 alpha=90.00 beta=90.00 gamma=90.00
Space group Fm-3m (No. 225)
Symmetry-distinct sites (fractional):
Sn  0.000  0.000  0.000

***

[5]
CaAg2O4: theoretical X-ray powder pattern (Cu Kα), based on a structure optimized by DFT (GGA-PBE).

The 10 most intense peaks (2θ = 5–70°), in order of rising 2θ:
| 2θ/deg | I (rel.) | (hkl) |
| --- | --- | --- |
| 16.49 | 34 | 0 0 3 |
| 27.00 | 25 | 1 0 4 |
| 31.60 | 100 | 0 2 1 |
| 31.80 | 23 | 0 1 5 |
| 33.04 | 24 | 2 0 2 |
| 38.42 | 24 | 0 2 4 |
| 50.60 | 16 | 1 2 5 |
| 50.75 | 14 | 0 2 7 |
| 55.26 | 26 | 2 2 0 |
| 55.66 | 22 | 2 0 8 |

Structure:
Unit cell a=6.6488 b=6.6488 c=16.1276 alpha=90.00 beta=90.00 gamma=120.00
Space group R3m (No. 160, hexagonal axes)
Symmetry-distinct sites (fractional):
Ca  0.0000  0.0000  0.0000
Ca  0.0000  0.0000  0.3962
Ag  0.0000  0.0000  0.6198
Ag  0.1677  0.3354  0.8354
O  0.0000  0.0000  0.2554
O  0.0000  0.0000  0.7513
O  0.0440  0.5220  0.7680
O  0.1839  0.3679  0.5650

***

[6]
PmTlAg2: theoretical X-ray powder pattern (Cu Kα), based on a structure optimized by DFT (GGA-PBE).

The 8 most intense peaks (2θ = 5–70°), in order of rising 2θ:
| 2θ/deg | I (rel.) | (hkl) |
| --- | --- | --- |
| 21.43 | 2 | 1 1 1 |
| 24.79 | 5 | 2 0 0 |
| 35.34 | 100 | 2 2 0 |
| 41.70 | 1 | 3 1 1 |
| 43.65 | 2 | 2 2 2 |
| 50.85 | 18 | 4 0 0 |
| 57.37 | 3 | 4 2 0 |
| 63.44 | 36 | 4 2 2 |

Structure:
Unit cell a=7.183 b=7.183 c=7.183 alpha=90.00 beta=90.00 gamma=90.00
Space group Fm-3m (No. 225)
Symmetry-distinct sites (fractional):
Pm  0.000  0.000  0.000
Tl  0.000  0.000  0.500
Ag  0.250  0.250  0.250

***

[7]
NdInCu2: theoretical X-ray powder pattern (Cu Kα), based on a structure optimized by DFT (GGA-PBE).

The 8 most intense peaks (2θ = 5–70°), in order of rising 2θ:
| 2θ/deg | I (rel.) | (hkl) |
| --- | --- | --- |
| 22.72 | 1 | 1 1 1 |
| 26.29 | 12 | 2 0 0 |
| 37.52 | 100 | 2 2 0 |
| 44.31 | 1 | 3 1 1 |
| 46.39 | 3 | 2 2 2 |
| 54.11 | 17 | 4 0 0 |
| 61.13 | 5 | 4 2 0 |
| 67.71 | 33 | 4 2 2 |

Structure:
Unit cell a=6.780 b=6.780 c=6.780 alpha=90.00 beta=90.00 gamma=90.00
Space group Fm-3m (No. 225)
Symmetry-distinct sites (fractional):
Nd  0.000  0.000  0.000
In  0.000  0.000  0.500
Cu  0.250  0.250  0.250

***

[8]
SmRh3C: theoretical X-ray powder pattern (Cu Kα), based on a structure optimized by DFT (GGA-PBE).

The 7 most intense peaks (2θ = 5–70°), in order of rising 2θ:
| 2θ/deg | I (rel.) | (hkl) |
| --- | --- | --- |
| 21.07 | 1 | 1 0 0 |
| 29.96 | 4 | 1 1 0 |
| 36.92 | 100 | 1 1 1 |
| 42.89 | 53 | 2 0 0 |
| 48.25 | 1 | 2 1 0 |
| 53.20 | 1 | 2 1 1 |
| 62.27 | 35 | 2 2 0 |

Structure:
Unit cell a=4.217 b=4.217 c=4.217 alpha=90.00 beta=90.00 gamma=90.00
Space group Pm-3m (No. 221)
Symmetry-distinct sites (fractional):
Sm  0.000  0.000  0.000
Rh  0.000  0.500  0.500
C  0.500  0.500  0.500

***

[9]
Nd4FeSn8: theoretical X-ray powder pattern (Cu Kα), based on a structure optimized by DFT (GGA-PBE).

The 10 most intense peaks (2θ = 5–70°), in order of rising 2θ:
| 2θ/deg | I (rel.) | (hkl) |
| --- | --- | --- |
| 31.65 | 17 | 0 0 6 |
| 32.08 | 100 | 1 1 3 |
| 37.57 | 9 | 1 0 6 |
| 39.43 | 18 | 0 2 0 |
| 40.03 | 17 | 2 0 0 |
| 51.42 | 9 | 0 2 6 |
| 51.91 | 9 | 2 0 6 |
| 57.44 | 12 | 2 2 0 |
| 66.91 | 13 | 1 3 3 |
| 67.74 | 12 | 3 1 3 |

Structure:
Unit cell a=4.505 b=4.571 c=16.960 alpha=90.00 beta=90.00 gamma=90.00
Space group Pmm2 (No. 25)
Symmetry-distinct sites (fractional):
Nd  0.000  0.000  0.000
Nd  0.000  0.500  0.496
Nd  0.500  0.000  0.198
Nd  0.500  0.500  0.702
Fe  0.500  0.000  0.406
Sn  0.000  0.000  0.339
Sn  0.000  0.000  0.670
Sn  0.000  0.500  0.160
Sn  0.000  0.500  0.852
Sn  0.500  0.000  0.554
Sn  0.500  0.000  0.849
Sn  0.500  0.500  0.038
Sn  0.500  0.500  0.340

***

[10]
Ce2TlAg: theoretical X-ray powder pattern (Cu Kα), based on a structure optimized by DFT (GGA-PBE).

The 8 most intense peaks (2θ = 5–70°), in order of rising 2θ:
| 2θ/deg | I (rel.) | (hkl) |
| --- | --- | --- |
| 20.16 | 5 | 1 1 1 |
| 33.21 | 100 | 2 2 0 |
| 39.16 | 3 | 3 1 1 |
| 47.68 | 18 | 4 0 0 |
| 52.26 | 1 | 3 3 1 |
| 59.34 | 38 | 4 2 2 |
| 63.34 | 1 | 5 1 1 |
| 69.72 | 12 | 4 4 0 |

Structure:
Unit cell a=7.630 b=7.630 c=7.630 alpha=90.00 beta=90.00 gamma=90.00
Space group Fm-3m (No. 225)
Symmetry-distinct sites (fractional):
Ce  0.250  0.250  0.250
Tl  0.000  0.000  0.000
Ag  0.000  0.000  0.500